No. 1
Diffraction record for Er2Ga3. The powder diffractogram is theoretical, not measured: it uses a GGA-PBE-relaxed structure and Cu Kα, 1.54184 Å.

Top 6 peaks for 2θ = 15–90°, by intensity:
32.39°, 2.764 Å, I = 100
32.83°, 2.728 Å, I = 55
41.61°, 2.170 Å, I = 33
55.68°, 1.651 Å, I = 24
43.65°, 2.073 Å, I = 24
43.92°, 2.061 Å, I = 24

Cell and atoms:
a = 12.9005 Å, b = 12.9005 Å, c = 4.1469 Å
α = 90.00°, β = 90.00°, γ = 161.61°
Element x y z (fractional)
Er1 0.0726 0.9274 0.7500
Er2 0.2044 0.7956 0.2500
Er3 0.7956 0.2044 0.7500
Er4 0.9274 0.0726 0.2500
Ga1 0.3238 0.6762 0.2500
Ga2 0.3805 0.6195 0.7500
Ga3 0.4759 0.5241 0.7500
Ga4 0.5241 0.4759 0.2500
Ga5 0.6195 0.3805 0.2500
Ga6 0.6762 0.3238 0.7500



No. 2
Diffraction record for Er3Ga2. The powder diffractogram is theoretical, not measured: it uses a GGA-PBE-relaxed structure and Cu Kα, 1.54184 Å.

Top 6 peaks for 2θ = 15–90°, by intensity:
34.62°, 2.591 Å, I = 100
32.63°, 2.744 Å, I = 84
33.45°, 2.679 Å, I = 43
33.01°, 2.714 Å, I = 32
37.02°, 2.428 Å, I = 31
34.85°, 2.575 Å, I = 27

Cell and atoms:
a = 10.9858 Å, b = 10.9858 Å, c = 10.9858 Å
α = 116.79°, β = 116.79°, γ = 95.65°
Element x y z (fractional)
Er1 0.0670 0.9313 0.2699
Er2 0.0687 0.3386 0.1357
Er3 0.1457 0.6457 0.5000
Er4 0.1614 0.4313 0.8643
Er5 0.1694 0.3306 0.5000
Er6 0.2029 0.9330 0.8643
Er7 0.2971 0.1614 0.7301
Er8 0.3306 0.8306 0.1611
Er9 0.3386 0.2029 0.2699
Er10 0.3543 0.8543 0.5000
Er11 0.4313 0.5670 0.2699
Er12 0.4330 0.7029 0.8643
Er13 0.5670 0.2971 0.1357
Er14 0.5687 0.4330 0.7301
Er15 0.6457 0.1457 0.5000
Er16 0.6614 0.7971 0.7301
Er17 0.6694 0.1694 0.8389
Er18 0.7029 0.8386 0.2699
Er19 0.7971 0.0670 0.1357
Er20 0.8306 0.6694 0.5000
Er21 0.8386 0.5687 0.1357
Er22 0.8543 0.3543 0.5000
Er23 0.9313 0.6614 0.8643
Er24 0.9330 0.0687 0.7301
Ga1 0.0000 0.0000 0.0000
Ga2 0.0241 0.8783 0.5000
Ga3 0.1184 0.6184 0.7369
Ga4 0.1217 0.6217 0.1458
Ga5 0.2500 0.2500 0.0000
Ga6 0.3783 0.5241 0.5000
Ga7 0.3816 0.1184 0.5000
Ga8 0.4759 0.9759 0.8542
Ga9 0.5000 0.5000 0.0000
Ga10 0.5241 0.0241 0.1458
Ga11 0.6184 0.8816 0.5000
Ga12 0.6217 0.4759 0.5000
Ga13 0.7500 0.7500 0.0000
Ga14 0.8783 0.3783 0.8542
Ga15 0.8816 0.3816 0.2631
Ga16 0.9759 0.1217 0.5000